This entry pairs a crystal structure of Pm3Dy with its simulated XRD peak list. Radiation: Cu Kα (λ = 1.5418 Å). Structure: a structure optimized by DFT (PBE).
Peak positions follow from Bragg's law for the DFT cell and can differ from measured ones.

The 8 most intense peaks (10 to 90 degrees two-theta), in order of rising 2θ:
- hkl 1 1 1, d = 2.966 Å, 30.1°, I 100
- hkl 2 0 0, d = 2.569 Å, 34.9°, I 51
- hkl 2 2 0, d = 1.816 Å, 50.2°, I 36
- hkl 3 1 1, d = 1.549 Å, 59.7°, I 43
- hkl 2 2 2, d = 1.483 Å, 62.6°, I 12
- hkl 4 0 0, d = 1.284 Å, 73.8°, I 6
- hkl 3 3 1, d = 1.179 Å, 81.7°, I 18
- hkl 4 2 0, d = 1.149 Å, 84.3°, I 16

Structure:
```
4
Lattice="5.1372 0.0000 0.0000 0.0000 5.1372 0.0000 0.0000 0.0000 5.1372" Properties=species:S:1:pos:R:3 pbc="T T T"
Pm 0.0000 0.0000 2.5686
Pm 0.0000 2.5686 0.0000
Pm 2.5686 0.0000 0.0000
Dy 2.5686 2.5686 2.5686
```